[1]
# Zr3TiBe2N
Computed powder X-ray diffraction pattern, a wavelength of 1.5418 Å. Input: a GGA-PBE-relaxed structure.
No peak broadening, texture or thermal motion is included.

Most intense lines, 2θ = 10–80°, low angle first:
2θ = 23.12°, d = 3.846 Å, intensity 45, hkl 1 0 1; 2θ = 28.84°, d = 3.096 Å, intensity 58, hkl 0 1 3; 2θ = 33.41°, d = 2.682 Å, intensity 100, hkl 1 1 2; 2θ = 40.08°, d = 2.250 Å, intensity 31, hkl 0 0 6; 2θ = 40.26°, d = 2.240 Å, intensity 20, hkl 1 0 5; 2θ = 40.84°, d = 2.209 Å, intensity 43, hkl 1 1 4; 2θ = 42.37°, d = 2.133 Å, intensity 29, hkl 0 2 0; 2θ = 45.19°, d = 2.006 Å, intensity 24, hkl 2 0 0; 2θ = 54.50°, d = 1.684 Å, intensity 20, hkl 2 1 3; 2θ = 63.68°, d = 1.461 Å, intensity 34, hkl 2 2 0

a b c (Å): 4.013 4.266 13.498
angles (deg): 90.00 90.00 90.00
Space group Immm (No. 71)
One atom of each set of equivalent atoms:
Zr: 0.000 0.000 0.000
Zr: 0.000 0.500 0.173
Ti: 0.000 0.000 0.500
Be: 0.000 0.500 0.373
N: 0.000 0.500 0.000



[2]
# Be3V3N
Computed powder X-ray diffraction pattern, a wavelength of 1.5418 Å. Input: a GGA-PBE-relaxed structure.
No peak broadening, texture or thermal motion is included.

Most intense lines, 2θ = 10–80°, low angle first:
2θ = 14.75°, d = 6.004 Å, intensity 100, hkl 1 1 1; 2θ = 34.50°, d = 2.600 Å, intensity 34, hkl 4 0 0; 2θ = 37.71°, d = 2.386 Å, intensity 36, hkl 3 3 1; 2θ = 42.59°, d = 2.123 Å, intensity 66, hkl 4 2 2; 2θ = 45.31°, d = 2.001 Å, intensity 82, hkl 3 3 3; 2θ = 49.59°, d = 1.838 Å, intensity 19, hkl 4 4 0; 2θ = 55.92°, d = 1.644 Å, intensity 10, hkl 6 2 0; 2θ = 63.93°, d = 1.456 Å, intensity 22, hkl 5 5 1; 2θ = 74.72°, d = 1.270 Å, intensity 11, hkl 7 3 3; 2θ = 77.96°, d = 1.226 Å, intensity 43, hkl 6 6 0

a b c (Å): 10.399 10.399 10.399
angles (deg): 90.00 90.00 90.00
Space group Fd-3m (No. 227, origin choice 2)
One atom of each set of equivalent atoms:
Be: 0.000 0.000 0.000
Be: 0.047 0.047 0.203
V: 0.063 0.375 0.875
N: 0.000 0.000 0.500



[3]
# Be2V3N
Computed powder X-ray diffraction pattern, a wavelength of 1.5418 Å. Input: a GGA-PBE-relaxed structure.
No peak broadening, texture or thermal motion is included.

Most intense lines, 2θ = 10–80°, low angle first:
2θ = 19.88°, d = 4.467 Å, intensity 48, hkl 1 1 0; 2θ = 24.41°, d = 3.647 Å, intensity 36, hkl 1 1 1; 2θ = 31.67°, d = 2.825 Å, intensity 21, hkl 2 1 0; 2θ = 34.79°, d = 2.579 Å, intensity 11, hkl 2 1 1; 2θ = 42.95°, d = 2.106 Å, intensity 100, hkl 2 2 1; 2θ = 45.40°, d = 1.998 Å, intensity 51, hkl 3 1 0; 2θ = 47.75°, d = 1.905 Å, intensity 22, hkl 3 1 1; 2θ = 62.36°, d = 1.489 Å, intensity 15, hkl 4 1 1; 2θ = 66.15°, d = 1.413 Å, intensity 13, hkl 4 2 0; 2θ = 76.96°, d = 1.239 Å, intensity 15, hkl 4 3 1

a b c (Å): 6.317 6.317 6.317
angles (deg): 90.00 90.00 90.00
Space group P4_132 (No. 213)
One atom of each set of equivalent atoms:
Be: 0.076 0.076 0.076
V: 0.043 0.875 0.707
N: 0.125 0.625 0.875



[4]
# NaBe
Computed powder X-ray diffraction pattern, a wavelength of 1.5418 Å. Input: a GGA-PBE-relaxed structure.
No peak broadening, texture or thermal motion is included.

Most intense lines, 2θ = 10–80°, low angle first:
2θ = 27.81°, d = 3.208 Å, intensity 82, hkl 3 1 0; 2θ = 33.82°, d = 2.651 Å, intensity 44, hkl 1 0 1; 2θ = 35.39°, d = 2.536 Å, intensity 39, hkl 4 0 0; 2θ = 37.61°, d = 2.391 Å, intensity 62, hkl 3 3 0; 2θ = 42.40°, d = 2.132 Å, intensity 100, hkl 3 0 1; 2θ = 54.25°, d = 1.691 Å, intensity 15, hkl 6 0 0; 2θ = 56.38°, d = 1.632 Å, intensity 39, hkl 4 3 1; 2θ = 65.48°, d = 1.426 Å, intensity 14, hkl 6 1 1; 2θ = 66.45°, d = 1.407 Å, intensity 12, hkl 6 4 0; 2θ = 71.17°, d = 1.325 Å, intensity 20, hkl 6 3 1

a b c (Å): 10.145 10.145 2.746
angles (deg): 90.00 90.00 90.00
Space group I4/mmm (No. 139)
One atom of each set of equivalent atoms:
Na: 0.152 0.152 0.000
Be: 0.000 0.383 0.500